For Tb3Ni11Ge4, a DFT-relaxed cell (GGA-PBE, the Materials Project) gives the simulated powder diffraction line list in this record (copper Kα).

Structural model:
```
Tb3Ni11Ge4
1.0
8.3373 0.0000 0.0000
-4.1686 7.2203 0.0000
0.0000 0.0000 8.5964
Tb Ni Ge
6 22 8
direct
0.1954 0.3907 0.2500 Tb
0.1954 0.8046 0.2500 Tb
0.3907 0.1954 0.7500 Tb
0.6093 0.8046 0.2500 Tb
0.8046 0.1954 0.7500 Tb
0.8046 0.6093 0.7500 Tb
0.1321 0.5661 0.7500 Ni
0.1583 0.3167 0.5961 Ni
0.1583 0.3167 0.9039 Ni
0.1583 0.8417 0.5961 Ni
0.1583 0.8417 0.9039 Ni
0.3167 0.1583 0.0961 Ni
0.3167 0.1583 0.4039 Ni
0.3333 0.6667 0.5064 Ni
0.3333 0.6667 0.9936 Ni
0.4339 0.5661 0.7500 Ni
0.4339 0.8679 0.7500 Ni
0.5661 0.1321 0.2500 Ni
0.5661 0.4339 0.2500 Ni
0.6667 0.3333 0.0064 Ni
0.6667 0.3333 0.4936 Ni
0.6833 0.8417 0.5961 Ni
0.6833 0.8417 0.9039 Ni
0.8417 0.1583 0.0961 Ni
0.8417 0.1583 0.4039 Ni
0.8417 0.6833 0.0961 Ni
0.8417 0.6833 0.4039 Ni
0.8679 0.4339 0.2500 Ni
0.0000 0.0000 0.2500 Ge
0.0000 0.0000 0.7500 Ge
0.0000 0.5000 0.0000 Ge
0.0000 0.5000 0.5000 Ge
0.5000 0.0000 0.0000 Ge
0.5000 0.0000 0.5000 Ge
0.5000 0.5000 0.0000 Ge
0.5000 0.5000 0.5000 Ge
```

Principal peaks in the range 10 to 80 degrees two-theta, in order of falling intensity:
2θ 40.18, rel. 100
2θ 43.41, rel. 95
2θ 39.10, rel. 77
2θ 38.86, rel. 59
2θ 26.78, rel. 24
2θ 68.55, rel. 22

=====

For Eu2InPt2, a DFT-relaxed cell (GGA-PBE, the Materials Project) gives the simulated powder diffraction line list in this record (copper Kα).

Structural model:
```
Eu2InPt2
1.0
5.1227 -2.9400 0.0000
5.1227 2.9400 0.0000
-2.0605 0.0000 8.1474
Eu In Pt
4 2 4
direct
0.0043 0.2914 0.1478 Eu
0.2914 0.0043 0.6478 Eu
0.7086 0.9957 0.3522 Eu
0.9957 0.7086 0.8522 Eu
0.3540 0.6460 0.2500 In
0.6460 0.3540 0.7500 In
0.2260 0.5004 0.4974 Pt
0.5004 0.2260 0.9974 Pt
0.4996 0.7740 0.0026 Pt
0.7740 0.4996 0.5026 Pt
```

Principal peaks in the range 10 to 80 degrees two-theta, in order of falling intensity:
2θ 35.51, rel. 100
2θ 38.56, rel. 97
2θ 35.83, rel. 86
2θ 34.03, rel. 60
2θ 32.37, rel. 58
2θ 35.15, rel. 51

=====

For SmB2Os2, a DFT-relaxed cell (GGA-PBE, the Materials Project) gives the simulated powder diffraction line list in this record (copper Kα).

Structural model:
```
SmB2Os2
1.0
0.0000 4.5353 4.9746
3.3339 0.0000 4.9746
3.3339 4.5353 0.0000
Sm B Os
2 4 4
direct
0.1250 0.1250 0.1250 Sm
0.8750 0.8750 0.8750 Sm
0.1872 0.5628 0.1872 B
0.4372 0.8128 0.4372 B
0.5628 0.1872 0.5628 B
0.8128 0.4372 0.8128 B
0.2376 0.2376 0.5124 Os
0.4876 0.4876 0.7624 Os
0.5124 0.5124 0.2376 Os
0.7624 0.7624 0.4876 Os
```

Principal peaks in the range 10 to 80 degrees two-theta, in order of falling intensity:
2θ 33.36, rel. 100
2θ 31.71, rel. 93
2θ 42.68, rel. 45
2θ 39.75, rel. 33
2θ 50.44, rel. 26
2θ 58.58, rel. 18

=====

For Ba2NdTaO6, a DFT-relaxed cell (GGA-PBE, the Materials Project) gives the simulated powder diffraction line list in this record (copper Kα).

Structural model:
```
Ba2NdTaO6
1.0
5.2879 -3.0565 0.0000
5.2879 3.0565 0.0000
-3.5604 0.0000 5.0239
Ba Nd Ta O
2 1 1 6
direct
0.2488 0.2488 0.2450 Ba
0.7512 0.7512 0.7550 Ba
0.0000 0.0000 0.5000 Nd
0.5000 0.5000 0.0000 Ta
0.2363 0.7008 0.1972 O
0.2703 0.2703 0.7109 O
0.2992 0.7637 0.8028 O
0.7008 0.2363 0.1972 O
0.7297 0.7297 0.2891 O
0.7637 0.2992 0.8028 O
```

Principal peaks in the range 10 to 80 degrees two-theta, in order of falling intensity:
2θ 29.17, rel. 100
2θ 29.24, rel. 67
2θ 41.64, rel. 37
2θ 29.00, rel. 33
2θ 51.79, rel. 27
2θ 51.62, rel. 22

=====

For MgIn2Te4, a DFT-relaxed cell (GGA-PBE, the Materials Project) gives the simulated powder diffraction line list in this record (copper Kα).

Structural model:
```
MgIn2Te4
1.0
6.3393 0.0000 0.0000
0.0000 6.3393 0.0000
0.0000 0.0000 12.7216
Mg In Te
2 4 8
direct
0.0000 0.0000 0.0000 Mg
0.5000 0.5000 0.5000 Mg
0.0000 0.5000 0.2500 In
0.0000 0.5000 0.7500 In
0.5000 0.0000 0.2500 In
0.5000 0.0000 0.7500 In
0.2266 0.2266 0.3882 Te
0.2266 0.7734 0.6118 Te
0.2734 0.2734 0.8882 Te
0.2734 0.7266 0.1118 Te
0.7266 0.2734 0.1118 Te
0.7266 0.7266 0.8882 Te
0.7734 0.2266 0.6118 Te
0.7734 0.7734 0.3882 Te
```

Principal peaks in the range 10 to 80 degrees two-theta, in order of falling intensity:
2θ 24.29, rel. 100
2θ 40.19, rel. 67
2θ 47.56, rel. 28
2θ 31.54, rel. 14
2θ 47.43, rel. 13
2θ 73.09, rel. 12

=====

For Na2Er2B2O7, a DFT-relaxed cell (GGA-PBE, the Materials Project) gives the simulated powder diffraction line list in this record (copper Kα).

Structural model:
```
Na2Er2B2O7
1.0
10.6223 0.0000 0.0000
0.0000 6.2253 0.0000
-4.7792 0.0000 9.0902
Na Er B O
8 8 8 28
direct
0.0241 0.0568 0.2636 Na
0.0241 0.4432 0.7636 Na
0.1116 0.7408 0.0480 Na
0.1116 0.7592 0.5480 Na
0.8884 0.2408 0.4520 Na
0.8884 0.2592 0.9520 Na
0.9759 0.5568 0.2364 Na
0.9759 0.9432 0.7364 Na
0.3192 0.0821 0.9152 Er
0.3192 0.4179 0.4152 Er
0.4853 0.5406 0.1838 Er
0.4853 0.9594 0.6838 Er
0.5147 0.0406 0.3162 Er
0.5147 0.4594 0.8162 Er
0.6808 0.5821 0.5848 Er
0.6808 0.9179 0.0848 Er
0.1869 0.2484 0.5826 B
0.1869 0.2516 0.0826 B
0.2943 0.6533 0.8523 B
0.2943 0.8467 0.3523 B
0.7057 0.1533 0.6477 B
0.7057 0.3467 0.1477 B
0.8131 0.7484 0.9174 B
0.8131 0.7516 0.4174 B
0.1040 0.1630 0.9461 O
0.1040 0.3370 0.4461 O
0.1354 0.1483 0.6672 O
0.1354 0.3517 0.1672 O
0.1857 0.7484 0.8661 O
0.1857 0.7516 0.3661 O
0.3358 0.2365 0.1330 O
0.3358 0.2635 0.6330 O
0.3529 0.0440 0.4142 O
0.3529 0.4560 0.9142 O
0.3526 0.7428 0.2713 O
0.3526 0.7572 0.7713 O
0.4744 0.6247 0.5971 O
0.4744 0.8753 0.0971 O
0.5256 0.1247 0.9029 O
0.5256 0.3753 0.4029 O
0.6474 0.2428 0.2287 O
0.6474 0.2572 0.7287 O
0.6471 0.5440 0.0858 O
0.6471 0.9560 0.5858 O
0.6642 0.7365 0.3670 O
0.6642 0.7635 0.8670 O
0.8143 0.2484 0.6339 O
0.8143 0.2516 0.1339 O
0.8646 0.6483 0.8328 O
0.8646 0.8517 0.3328 O
0.8960 0.6630 0.5539 O
0.8960 0.8370 0.0539 O
```

Principal peaks in the range 10 to 80 degrees two-theta, in order of falling intensity:
2θ 30.25, rel. 100
2θ 30.09, rel. 77
2θ 33.81, rel. 55
2θ 33.37, rel. 53
2θ 28.92, rel. 51
2θ 25.96, rel. 46